Cs2TlHgF4: simulated XRD peak list (Cu Kα, 1.54184 Å), based on a DFT-relaxed cell (PBE, Alexandria).
Intensities are scaled so that the largest is 100.

Main lines, in order of rising 2θ (2θ = 10–90°):
hkl  Position (°2θ)  I_rel
2 0 0  24.91  46.7
1 1 2  27.03  100.0
2 2 0  35.52  29.6
3 1 2  45.19  49.8
2 0 4  49.01  23.6
4 2 4  73.51  13.5

Structure:
a = 7.149 Å, b = 7.149 Å, c = 8.705 Å
α = 90.00°, β = 90.00°, γ = 90.00°
Space group I-4 (No. 82)
One atom of each set of equivalent atoms:
Cs1 0.000 0.000 0.000
Cs2 0.000 0.500 0.250
Tl1 0.000 0.000 0.500
Hg1 0.000 0.500 0.750
F1 0.212 0.254 0.635